# Ti2P2SO12
Simulated powder X-ray diffraction pattern, copper Kα. Input: a cell relaxed with GGA-PBE.
Lines closer than 0.1° are merged.

Most intense lines, 5 to 70 degrees two-theta, in order of rising 2θ:
| Position (°2θ) | Rel. int. | (hkl) |
| --- | --- | --- |
| 14.3 | 406 | 1 1 -1 |
| 19.9 | 402 | 2 0 -2 |
| 20.7 | 138 | 0 2 0 |
| 23.9 | 1000 | 0 2 1 |
| 28.9 | 345 | 4 0 0 |
| 31.9 | 270 | 3 1 1 |
| 32.1 | 128 | 4 2 -1 |
| 52.5 | 111 | 4 2 2 |

Crystal structure
Unit cell a=14.8957 b=8.5906 c=8.9244 alpha=90.00 beta=123.90 gamma=90.00
Space group Cc (No. 9)
Asymmetric unit:
Ti (0.0000, 0.2383, 0.0000) [4 per cell]
Ti (0.2118, 0.2522, 0.6382) [4 per cell]
P (0.1056, 0.0367, 0.8203) [4 per cell]
P (0.2463, 0.3923, 0.3184) [4 per cell]
S (0.4599, 0.1048, 0.8186) [4 per cell]
O (0.0303, 0.1404, 0.8465) [4 per cell]
O (0.0307, 0.0654, 0.1514) [4 per cell]
O (0.0534, 0.3208, 0.4811) [4 per cell]
O (0.1459, 0.3184, 0.1509) [4 per cell]
O (0.1750, 0.0668, 0.4864) [4 per cell]
O (0.1758, 0.1416, 0.7869) [4 per cell]
O (0.2427, 0.3657, 0.4863) [4 per cell]
O (0.2465, 0.4310, 0.7874) [4 per cell]
O (0.3500, 0.3191, 0.3504) [4 per cell]
O (0.3619, 0.1769, 0.7951) [4 per cell]
O (0.4575, 0.0637, 0.3453) [4 per cell]
O (0.4614, 0.1295, 0.6564) [4 per cell]